# Tl4Pd15Pb
Computed X-ray diffraction stick pattern, λ = 1.5418 Å (Cu Kα). Input: the GGA-PBE geometry in the Materials Project.
Kinematic intensities with the Lorentz-polarization factor, no thermal factor.

```
Tl4Pd15Pb
1.0
4.105 0.000 0.000
0.000 4.105 0.000
0.000 0.000 20.488
Tl Pd Pb
4 15 1
Direct
0.000 0.000 0.100 Tl
0.000 0.000 0.299 Tl
0.000 0.000 0.701 Tl
0.000 0.000 0.900 Tl
0.000 0.500 0.000 Pd
0.000 0.500 0.200 Pd
0.000 0.500 0.400 Pd
0.000 0.500 0.600 Pd
0.000 0.500 0.800 Pd
0.500 0.000 0.000 Pd
0.500 0.000 0.200 Pd
0.500 0.000 0.400 Pd
0.500 0.000 0.600 Pd
0.500 0.000 0.800 Pd
0.500 0.500 0.100 Pd
0.500 0.500 0.300 Pd
0.500 0.500 0.500 Pd
0.500 0.500 0.700 Pd
0.500 0.500 0.900 Pd
0.000 0.000 0.500 Pb
```

Main lines, sorted by position (10 to 90 degrees two-theta):
| hkl | 2theta | I_rel |
| --- | --- | --- |
| 1 1 5 | 37.99 | 100 |
| 2 0 0 | 44.15 | 49 |
| 2 2 0 | 64.21 | 32 |
| 3 1 5 | 77.06 | 25 |
| 1 1 15 | 77.18 | 12 |
| 2 2 10 | 81.22 | 11 |